Diffraction record for CaCuF5. The X-ray diffraction stick pattern is theoretical, not measured: it uses a PBE-relaxed structure and Cu Ka.
Lines closer than 0.1° are merged.

Largest 10 diffraction maxima, sorted by position, 2θ from 15° to 90°:
index  2θ/deg  I (rel.)
0 1 0  17.5  28
1 1 0  21.8  100
1 1 2  25.6  19
0 1 2  26.9  48
1 0 2  27.0  48
1 -1 0  27.6  48
2 2 0  44.5  31
1 1 4  47.1  26
-1 2 2  48.3  15
2 -1 2  48.5  15

Atomic structure:
Cell lengths 5.544, 5.555, 7.711 Å; angles 69.38, 69.64, 71.16 degrees
Fractional positions:
Ca: 0.042 0.457 0.250
Ca: 0.958 0.543 0.750
Cu: 0.500 0.000 0.000
Cu: 0.500 0.000 0.500
F: 0.194 0.287 0.978
F: 0.213 0.311 0.522
F: 0.250 0.792 0.622
F: 0.286 0.764 0.114
F: 0.428 0.063 0.254
F: 0.572 0.937 0.746
F: 0.714 0.236 0.886
F: 0.750 0.208 0.378
F: 0.787 0.689 0.478
F: 0.806 0.713 0.022